(1)
Theoretical powder diffractogram
Compound: LiBiP4O12
Radiation: λ = 1.5418 Å (Cu Kα)
Structure: a crystal structure in the Materials Project, relaxed with GGA-PBE
Peak positions follow from Bragg's law for the DFT cell and can differ from measured ones.

Cell and atoms:
Unit cell a=17.704 b=12.118 c=5.307 alpha=90.00 beta=105.16 gamma=90.00
Space group C2/m (No. 12)
Inequivalent atoms, fractional coordinates:
Li 0.250 0.250 0.000 x4
Bi 0.149 0.000 0.690 x4
P 0.084 0.192 0.164 x8
P 0.183 0.382 0.462 x8
O 0.000 0.233 0.000 x4
O 0.073 0.116 0.377 x8
O 0.115 0.310 0.276 x8
O 0.132 0.150 0.989 x8
O 0.142 0.500 0.389 x4
O 0.195 0.356 0.742 x8
O 0.246 0.124 0.651 x8

The 6 most intense peaks (2θ = 10–90°), sorted by position:
| 2θ (°) | Rel. int. | h k l |
| --- | --- | --- |
| 18.26 | 70 | 1 1 -1 |
| 20.75 | 100 | 4 0 0 |
| 23.04 | 70 | 2 2 -1 |
| 27.07 | 65 | 3 3 0 |
| 27.75 | 80 | 1 3 -1 |
| 28.32 | 51 | 5 1 -1 |

(2)
Theoretical powder diffractogram
Compound: LiBiP4O12
Radiation: λ = 1.5418 Å (Cu Kα)
Structure: a crystal structure in the Materials Project, relaxed with GGA-PBE
Peak positions follow from Bragg's law for the DFT cell and can differ from measured ones.

Cell and atoms:
Unit cell a=16.573 b=7.174 c=9.846 alpha=90.00 beta=126.00 gamma=90.00
Space group C2/c (No. 15)
Inequivalent atoms, fractional coordinates:
Li 0.000 0.203 0.250 x4
Bi 0.000 0.303 0.750 x4
P 0.139 0.053 0.617 x8
P 0.146 0.349 0.193 x8
O 0.068 0.012 0.432 x8
O 0.071 0.410 0.223 x8
O 0.118 0.214 0.689 x8
O 0.129 0.391 0.029 x8
O 0.156 0.127 0.228 x8
O 0.247 0.078 0.652 x8

The 6 most intense peaks (2θ = 10–90°), sorted by position:
| 2θ (°) | Rel. int. | h k l |
| --- | --- | --- |
| 13.21 | 50 | 2 0 0 |
| 15.28 | 58 | 1 1 -1 |
| 20.27 | 100 | 3 1 -1 |
| 22.32 | 46 | 0 0 2 |
| 27.30 | 33 | 2 2 -1 |
| 30.79 | 34 | 3 1 1 |

(3)
Theoretical powder diffractogram
Compound: LiBiP4O12
Radiation: λ = 1.5418 Å (Cu Kα)
Structure: a crystal structure in the Materials Project, relaxed with GGA-PBE
Peak positions follow from Bragg's law for the DFT cell and can differ from measured ones.

Cell and atoms:
Unit cell a=7.476 b=9.004 c=8.388 alpha=90.00 beta=95.88 gamma=90.00
Space group P2_1 (No. 4)
Inequivalent atoms, fractional coordinates:
Li 0.196 0.000 0.356 x2
Bi 0.239 0.778 0.814 x2
P 0.066 0.542 0.445 x2
P 0.072 0.171 0.867 x2
P 0.320 0.335 0.282 x2
P 0.363 0.398 0.944 x2
O 0.037 0.671 0.311 x2
O 0.058 0.728 0.023 x2
O 0.098 0.943 0.561 x2
O 0.119 0.613 0.603 x2
O 0.167 0.027 0.903 x2
O 0.215 0.301 0.837 x2
O 0.221 0.192 0.280 x2
O 0.240 0.455 0.397 x2
O 0.277 0.420 0.112 x2
O 0.371 0.546 0.864 x2
O 0.463 0.812 0.028 x2
O 0.479 0.836 0.669 x2

The 6 most intense peaks (2θ = 10–90°), sorted by position:
| 2θ (°) | Rel. int. | h k l |
| --- | --- | --- |
| 14.47 | 100 | 0 1 1 |
| 15.12 | 48 | 1 0 -1 |
| 15.45 | 33 | 1 1 0 |
| 25.98 | 35 | 1 2 1 |
| 27.11 | 31 | 2 1 -1 |
| 32.16 | 29 | 1 3 0 |